1.
Starting from a crystal structure in Alexandria, relaxed with GGA-PBE, the X-ray diffraction stick pattern of Ca4AlN was computed for Cu Kα (weighted mean of Kα1 and Kα2).
Peak positions follow from Bragg's law for the DFT cell and can differ from measured ones.

Structure:
```
Ca4AlN
1.0
2.529 -8.973 0.000
2.529 8.973 0.000
0.000 0.000 7.004
Ca Al N
8 2 2
Direct
0.000 0.000 0.000
0.000 0.000 0.500
0.182 0.818 0.507
0.182 0.818 0.993
0.414 0.586 0.250
0.586 0.414 0.750
0.818 0.182 0.007
0.818 0.182 0.493
0.382 0.618 0.750
0.618 0.382 0.250
0.094 0.906 0.750
0.906 0.094 0.250
```

Most intense lines, 15 to 90 degrees two-theta, in order of rising 2θ:
2θ = 18.22°, I 16; 2θ = 30.54°, I 95; 2θ = 31.47°, I 100; 2θ = 32.43°, I 25; 2θ = 34.57°, I 15; 2θ = 35.49°, I 52; 2θ = 39.63°, I 52; 2θ = 52.24°, I 15; 2θ = 54.24°, I 37; 2θ = 61.73°, I 22


2.
Starting from a crystal structure in Alexandria, relaxed with GGA-PBE, the X-ray diffraction stick pattern of CaPr12Al4N3 was computed for Cu Kα (weighted mean of Kα1 and Kα2).
Peak positions follow from Bragg's law for the DFT cell and can differ from measured ones.

Structure:
```
CaPr12Al4N3
1.0
-5.113 5.113 5.113
5.113 -5.113 5.113
5.113 5.113 -5.113
Ca Pr Al N
1 12 4 3
Direct
0.000 0.000 0.000
0.000 0.270 0.270
0.000 0.730 0.730
0.250 0.500 0.750
0.250 0.750 0.500
0.270 0.000 0.270
0.270 0.270 0.000
0.500 0.250 0.750
0.500 0.750 0.250
0.730 0.000 0.730
0.730 0.730 0.000
0.750 0.250 0.500
0.750 0.500 0.250
0.000 0.000 0.500
0.000 0.500 0.000
0.500 0.000 0.000
0.500 0.500 0.500
0.000 0.500 0.500
0.500 0.000 0.500
0.500 0.500 0.000
```

Most intense lines, 15 to 90 degrees two-theta, in order of rising 2θ:
2θ = 17.35°, I 31; 2θ = 24.63°, I 11; 2θ = 30.28°, I 100; 2θ = 35.11°, I 61; 2θ = 39.41°, I 13; 2θ = 50.49°, I 41; 2θ = 60.02°, I 40; 2θ = 62.98°, I 13; 2θ = 82.19°, I 15; 2θ = 84.81°, I 16


3.
Starting from a crystal structure in Alexandria, relaxed with GGA-PBE, the X-ray diffraction stick pattern of Ca6Al3Si8N18 was computed for Cu Kα (weighted mean of Kα1 and Kα2).
Peak positions follow from Bragg's law for the DFT cell and can differ from measured ones.

Structure:
```
Ca6Al3Si8N18
1.0
7.580 0.000 0.000
1.314 7.476 0.000
1.169 1.209 7.469
Ca Al Si N
6 3 8 18
Direct
0.000 0.000 0.000
0.003 0.878 0.617
0.378 0.250 0.381
0.392 0.218 0.968
0.671 0.537 0.294
0.720 0.561 0.719
0.049 0.593 0.332
0.327 0.860 0.288
0.396 0.909 0.670
0.000 0.508 0.962
0.052 0.273 0.670
0.315 0.530 0.633
0.354 0.620 0.008
0.655 0.856 0.960
0.667 0.175 0.633
0.713 0.929 0.342
0.978 0.207 0.300
0.158 0.450 0.532
0.193 0.090 0.258
0.197 0.076 0.723
0.212 0.722 0.172
0.229 0.539 0.866
0.331 0.751 0.532
0.476 0.437 0.126
0.489 0.769 0.874
0.522 0.385 0.613
0.575 0.872 0.191
0.583 0.022 0.525
0.680 0.069 0.847
0.822 0.105 0.236
0.843 0.730 0.429
0.864 0.720 0.920
0.892 0.224 0.535
0.942 0.350 0.858
0.984 0.434 0.196
```

Most intense lines, 15 to 90 degrees two-theta, in order of rising 2θ:
2θ = 31.43°, I 75; 2θ = 31.97°, I 49; 2θ = 35.32°, I 100; 2θ = 35.94°, I 41; 2θ = 36.08°, I 37; 2θ = 36.26°, I 47; 2θ = 36.39°, I 34; 2θ = 36.53°, I 22; 2θ = 36.87°, I 23; 2θ = 56.63°, I 30


4.
Starting from a crystal structure in Alexandria, relaxed with GGA-PBE, the X-ray diffraction stick pattern of Na5Ca2AlP4O16 was computed for Cu Kα (weighted mean of Kα1 and Kα2).
Peak positions follow from Bragg's law for the DFT cell and can differ from measured ones.

Structure:
```
Na5Ca2AlP4O16
1.0
5.617 -7.049 0.000
5.617 7.049 0.000
-5.227 0.000 9.262
Na Ca Al P O
10 4 2 8 32
Direct
0.007 0.993 0.500
0.048 0.305 0.815
0.305 0.048 0.315
0.476 0.498 0.990
0.498 0.476 0.490
0.540 0.800 0.357
0.615 0.970 0.147
0.800 0.540 0.857
0.970 0.615 0.647
0.993 0.007 0.000
0.055 0.274 0.337
0.274 0.055 0.837
0.527 0.741 0.802
0.741 0.527 0.302
0.135 0.651 0.201
0.651 0.135 0.701
0.197 0.695 0.500
0.229 0.740 0.975
0.281 0.368 0.159
0.368 0.281 0.659
0.695 0.197 0.000
0.740 0.229 0.475
0.793 0.856 0.655
0.856 0.793 0.155
0.000 0.958 0.257
0.027 0.546 0.409
0.074 0.584 0.871
0.144 0.452 0.158
0.176 0.827 0.618
0.205 0.898 0.960
0.235 0.237 0.717
0.237 0.235 0.217
0.237 0.769 0.391
0.261 0.766 0.139
0.263 0.292 0.002
0.292 0.263 0.502
0.334 0.631 0.563
0.389 0.720 0.957
0.452 0.144 0.658
0.455 0.503 0.259
0.503 0.455 0.759
0.546 0.027 0.909
0.584 0.074 0.371
0.631 0.334 0.063
0.645 0.929 0.630
0.720 0.389 0.457
0.726 0.748 0.216
0.748 0.726 0.716
0.766 0.261 0.639
0.769 0.237 0.891
0.770 0.791 0.004
0.791 0.770 0.504
0.827 0.176 0.118
0.898 0.205 0.460
0.929 0.645 0.130
0.958 0.000 0.757
```

Most intense lines, 15 to 90 degrees two-theta, in order of rising 2θ:
2θ = 17.28°, I 34; 2θ = 22.12°, I 46; 2θ = 24.90°, I 43; 2θ = 31.28°, I 100; 2θ = 31.70°, I 35; 2θ = 31.90°, I 86; 2θ = 32.51°, I 78; 2θ = 33.72°, I 63; 2θ = 46.35°, I 37; 2θ = 46.95°, I 34


5.
Starting from a crystal structure in Alexandria, relaxed with GGA-PBE, the X-ray diffraction stick pattern of Na3CaAl3Si3SO16 was computed for Cu Kα (weighted mean of Kα1 and Kα2).
Peak positions follow from Bragg's law for the DFT cell and can differ from measured ones.

Structure:
```
Na3CaAl3Si3SO16
1.0
7.842 0.000 0.000
-2.732 7.392 0.000
-2.508 -3.722 6.504
Na Ca Al Si S O
3 1 3 3 1 16
Direct
0.000 0.000 0.000
0.004 0.618 0.399
0.621 0.235 0.621
0.368 0.590 0.005
0.245 0.111 0.757
0.503 0.365 0.252
0.757 0.116 0.251
0.259 0.362 0.505
0.500 0.857 0.754
0.745 0.867 0.500
0.029 0.631 0.999
0.022 0.214 0.315
0.152 0.643 0.196
0.174 0.807 0.988
0.294 0.246 0.006
0.300 0.316 0.697
0.312 0.609 0.607
0.401 0.001 0.717
0.419 0.331 0.426
0.594 0.629 0.310
0.603 0.901 0.990
0.686 0.902 0.690
0.698 0.009 0.403
0.706 0.317 0.284
0.840 0.640 0.981
0.979 0.432 0.827
0.982 0.913 0.595
```

Most intense lines, 15 to 90 degrees two-theta, in order of rising 2θ:
2θ = 23.79°, I 89; 2θ = 23.92°, I 60; 2θ = 24.07°, I 100; 2θ = 24.20°, I 14; 2θ = 34.03°, I 29; 2θ = 34.14°, I 17; 2θ = 34.31°, I 18; 2θ = 41.66°, I 14; 2θ = 42.07°, I 19; 2θ = 42.23°, I 18


Repeat the fourth record exactly.
Starting from a crystal structure in Alexandria, relaxed with GGA-PBE, the X-ray diffraction stick pattern of Na5Ca2AlP4O16 was computed for Cu Kα (weighted mean of Kα1 and Kα2).
Peak positions follow from Bragg's law for the DFT cell and can differ from measured ones.

Structure:
```
Na5Ca2AlP4O16
1.0
5.617 -7.049 0.000
5.617 7.049 0.000
-5.227 0.000 9.262
Na Ca Al P O
10 4 2 8 32
Direct
0.007 0.993 0.500
0.048 0.305 0.815
0.305 0.048 0.315
0.476 0.498 0.990
0.498 0.476 0.490
0.540 0.800 0.357
0.615 0.970 0.147
0.800 0.540 0.857
0.970 0.615 0.647
0.993 0.007 0.000
0.055 0.274 0.337
0.274 0.055 0.837
0.527 0.741 0.802
0.741 0.527 0.302
0.135 0.651 0.201
0.651 0.135 0.701
0.197 0.695 0.500
0.229 0.740 0.975
0.281 0.368 0.159
0.368 0.281 0.659
0.695 0.197 0.000
0.740 0.229 0.475
0.793 0.856 0.655
0.856 0.793 0.155
0.000 0.958 0.257
0.027 0.546 0.409
0.074 0.584 0.871
0.144 0.452 0.158
0.176 0.827 0.618
0.205 0.898 0.960
0.235 0.237 0.717
0.237 0.235 0.217
0.237 0.769 0.391
0.261 0.766 0.139
0.263 0.292 0.002
0.292 0.263 0.502
0.334 0.631 0.563
0.389 0.720 0.957
0.452 0.144 0.658
0.455 0.503 0.259
0.503 0.455 0.759
0.546 0.027 0.909
0.584 0.074 0.371
0.631 0.334 0.063
0.645 0.929 0.630
0.720 0.389 0.457
0.726 0.748 0.216
0.748 0.726 0.716
0.766 0.261 0.639
0.769 0.237 0.891
0.770 0.791 0.004
0.791 0.770 0.504
0.827 0.176 0.118
0.898 0.205 0.460
0.929 0.645 0.130
0.958 0.000 0.757
```

Most intense lines, 15 to 90 degrees two-theta, in order of rising 2θ:
2θ = 17.28°, I 34; 2θ = 22.12°, I 46; 2θ = 24.90°, I 43; 2θ = 31.28°, I 100; 2θ = 31.70°, I 35; 2θ = 31.90°, I 86; 2θ = 32.51°, I 78; 2θ = 33.72°, I 63; 2θ = 46.35°, I 37; 2θ = 46.95°, I 34